1.
# U4CrGa12
Theoretical X-ray diffraction stick pattern, Cu Kα (weighted mean of Kα1 and Kα2). Input: a cell relaxed with PBE.
No peak broadening, texture or thermal motion is included.

Structural model:
```
data_U4CrGa12
_cell_length_a 8.587
_cell_length_b 8.587
_cell_length_c 8.587
_cell_angle_alpha 90.00
_cell_angle_beta 90.00
_cell_angle_gamma 90.00
_symmetry_space_group_name_H-M 'I m -3 m'
_symmetry_Int_Tables_number 229
_symmetry_space_group_name_Hall '-I 4 2 3'
loop_
_atom_site_label
_atom_site_type_symbol
_atom_site_fract_x
_atom_site_fract_y
_atom_site_fract_z
_atom_site_occupancy
U1 U 0.250 0.250 0.250 1
Cr1 Cr 0.000 0.000 0.000 1
Ga1 Ga 0.000 0.000 0.291 1
Ga2 Ga 0.000 0.250 0.500 1
```

Main lines, sorted by position (2θ = 10–90°):
index  2θ/deg  intensity
2 0 0  20.69  30
2 2 0  29.42  45
2 2 2  36.24  100
4 0 0  42.09  55
4 2 0  47.35  20
4 2 2  52.19  16
4 4 0  61.05  34
6 2 0  69.20  12
6 2 2  73.10  34
6 4 2  84.42  13

=====

2.
# NpScS4
Theoretical X-ray diffraction stick pattern, Cu Kα (weighted mean of Kα1 and Kα2). Input: a cell relaxed with PBE.
No peak broadening, texture or thermal motion is included.

Structural model:
```
data_NpScS4
_cell_length_a 6.424
_cell_length_b 3.885
_cell_length_c 6.523
_cell_angle_alpha 90.00
_cell_angle_beta 90.41
_cell_angle_gamma 90.00
_symmetry_space_group_name_H-M 'P 1 2/m 1'
_symmetry_Int_Tables_number 10
loop_
_symmetry_equiv_pos_as_xyz
'x,y,z'
'-x,-y,-z'
'-x,y,-z'
'x,-y,z'
loop_
_atom_site_label
_atom_site_type_symbol
_atom_site_fract_x
_atom_site_fract_y
_atom_site_fract_z
_atom_site_occupancy
Np1 Np 0.000 0.000 0.000 1
Sc1 Sc 0.000 0.500 0.500 1
S1 S 0.213 0.000 0.333 1
S2 S 0.217 0.500 0.834 1
```

Main lines, sorted by position (2θ = 10–90°):
index  2θ/deg  intensity
0 0 1  13.58  35
1 0 0  13.79  100
1 0 -1  19.32  16
1 0 1  19.47  16
0 1 1  26.71  19
1 1 0  26.82  15
1 1 -1  30.14  54
1 0 2  30.84  22
2 1 -1  38.82  30
0 1 3  47.95  15